Record 1
Starting from a DFT-relaxed cell (PBE, the Materials Project), the XRD peak list of SrP2Rh2 was simulated for Cu Kα.

Most intense lines, 2θ = 10–90°, in order of falling intensity:
35.34 deg, I = 100, (1 1 2); 14.92 deg, I = 49, (0 0 2); 45.66 deg, I = 37, (2 0 0); 31.91 deg, I = 36, (1 0 3); 56.92 deg, I = 33, (1 1 6); 30.11 deg, I = 27, (0 0 4); 44.41 deg, I = 27, (1 1 4); 77.68 deg, I = 20, (3 1 2)

Lattice parameters (Å, degrees): 3.974 3.974 11.872 90.00 90.00 90.00
Positions (direct):
Sr  0.000  0.000  0.000
Sr  0.500  0.500  0.500
P  0.000  0.000  0.359
P  0.000  0.000  0.641
P  0.500  0.500  0.141
P  0.500  0.500  0.859
Rh  0.000  0.500  0.250
Rh  0.000  0.500  0.750
Rh  0.500  0.000  0.250
Rh  0.500  0.000  0.750

Record 2
Starting from a DFT-relaxed cell (PBE, the Materials Project), the XRD peak list of ErIn2Sn was simulated for Cu Kα.

Most intense lines, 2θ = 10–90°, in order of falling intensity:
33.39 deg, I = 100, (1 1 1); 39.15 deg, I = 32, (2 0 0); 67.29 deg, I = 26, (3 1 1); 55.65 deg, I = 23, (2 0 2); 37.93 deg, I = 18, (0 0 2); 65.64 deg, I = 14, (1 1 3); 70.13 deg, I = 12, (2 2 2); 56.56 deg, I = 11, (2 2 0)

Lattice parameters (Å, degrees): 4.602 4.602 4.745 90.00 90.00 90.00
Positions (direct):
Er  0.000  0.000  0.000
In  0.000  0.500  0.500
In  0.500  0.000  0.500
Sn  0.500  0.500  0.000